Record 1
Starting from a crystal structure in the Materials Project, relaxed with GGA-PBE, the powder diffractogram of SrMg5 was simulated for λ = 1.5418 Å (Cu Kα).
Intensities are scaled so that the largest is 1000.

Structural model:
Cell: 5.3157 3.5070 17.9085 Å, 90.00 90.00 90.00°
Space group Amm2 (No. 38)
Asymmetric unit:
Sr (0.0000, 0.0000, 0.0000)
Mg (0.0000, 0.0000, 0.3241)
Mg (0.0000, 0.0000, 0.6792)
Mg (0.5000, 0.0000, 0.1330)
Mg (0.5000, 0.0000, 0.4238)
Mg (0.5000, 0.0000, 0.7813)

The 10 most intense peaks (10° ≤ 2θ ≤ 80°), most intense first:
2θ (°)  d_spacing  I_rel  index
34.11  2.628  1000  1 1 3
34.46  2.603  413  1 0 6
33.72  2.658  347  2 0 0
29.54  3.024  296  0 1 3
19.42  4.571  269  1 0 2
26.02  3.424  244  1 0 4
60.57  1.529  181  3 1 3
45.43  1.996  177  2 1 3
30.95  2.889  163  1 1 1
16.68  5.316  157  1 0 0

Record 2
Starting from a crystal structure in the Materials Project, relaxed with GGA-PBE, the powder diffractogram of Sr3Mg was simulated for λ = 1.5418 Å (Cu Kα).
Intensities are scaled so that the largest is 1000.

Structural model:
Cell: 4.3180 12.9106 6.6772 Å, 90.00 90.00 90.00°
Space group Imm2 (No. 44)
Asymmetric unit:
Sr (0.0000, 0.0000, 0.0000)
Sr (0.0000, 0.2152, 0.4559)
Mg (0.0000, 0.5000, 0.0419)

The 10 most intense peaks (10° ≤ 2θ ≤ 80°), most intense first:
2θ (°)  d_spacing  I_rel  index
28.23  3.161  1000  1 2 1
24.60  3.619  342  0 3 1
26.70  3.339  295  0 0 2
27.64  3.228  188  0 4 0
48.10  1.892  173  1 2 3
49.19  1.852  156  2 3 1
49.36  1.846  141  1 5 2
21.70  4.095  132  1 1 0
38.81  2.321  131  0 4 2
40.71  2.216  122  1 5 0

What did the first record say?
Starting from a crystal structure in the Materials Project, relaxed with GGA-PBE, the powder diffractogram of SrMg5 was simulated for λ = 1.5418 Å (Cu Kα).
Intensities are scaled so that the largest is 1000.

Structural model:
Cell: 5.3157 3.5070 17.9085 Å, 90.00 90.00 90.00°
Space group Amm2 (No. 38)
Asymmetric unit:
Sr (0.0000, 0.0000, 0.0000)
Mg (0.0000, 0.0000, 0.3241)
Mg (0.0000, 0.0000, 0.6792)
Mg (0.5000, 0.0000, 0.1330)
Mg (0.5000, 0.0000, 0.4238)
Mg (0.5000, 0.0000, 0.7813)

The 10 most intense peaks (10° ≤ 2θ ≤ 80°), most intense first:
2θ (°)  d_spacing  I_rel  index
34.11  2.628  1000  1 1 3
34.46  2.603  413  1 0 6
33.72  2.658  347  2 0 0
29.54  3.024  296  0 1 3
19.42  4.571  269  1 0 2
26.02  3.424  244  1 0 4
60.57  1.529  181  3 1 3
45.43  1.996  177  2 1 3
30.95  2.889  163  1 1 1
16.68  5.316  157  1 0 0